Theoretical PXRD pattern of Ac5Pb4Br for Cu Kα (weighted mean of Kα1 and Kα2), from a structure optimized by DFT (GGA-PBE).
Kinematic intensities with the Lorentz-polarization factor, no thermal factor.

Lattice parameters (Å, degrees): 8.351 8.351 8.351 99.56 99.56 131.90
Element x y z (fractional)
Ac  0.000  0.000  0.000
Ac  0.198  0.598  0.796
Ac  0.402  0.198  0.600
Ac  0.598  0.802  0.400
Ac  0.802  0.402  0.204
Pb  0.102  0.295  0.398
Pb  0.295  0.898  0.193
Pb  0.705  0.102  0.807
Pb  0.898  0.705  0.602
Br  0.500  0.500  0.000

The 10 most intense peaks (10 to 90 degrees two-theta), sorted by position:
26.15°, intensity 100
37.31°, intensity 80
46.13°, intensity 30
53.75°, intensity 9
60.73°, intensity 26
60.84°, intensity 13
67.29°, intensity 29
79.59°, intensity 6
85.41°, intensity 8
85.50°, intensity 11

---

Theoretical PXRD pattern of Pd5Pt12Rh2 for Cu Kα (weighted mean of Kα1 and Kα2), from a structure optimized by DFT (GGA-PBE).
Kinematic intensities with the Lorentz-polarization factor, no thermal factor.

Lattice parameters (Å, degrees): 8.935 8.935 6.851 107.27 107.27 35.86
Element x y z (fractional)
Pd  0.000  0.000  0.000
Pd  0.247  0.247  0.994
Pd  0.349  0.349  0.408
Pd  0.651  0.651  0.592
Pd  0.753  0.753  0.006
Pt  0.051  0.555  0.705
Pt  0.143  0.143  0.576
Pt  0.153  0.641  0.115
Pt  0.359  0.847  0.885
Pt  0.445  0.949  0.295
Pt  0.452  0.452  0.803
Pt  0.548  0.548  0.197
Pt  0.555  0.051  0.705
Pt  0.641  0.153  0.115
Pt  0.847  0.359  0.885
Pt  0.857  0.857  0.424
Pt  0.949  0.445  0.295
Rh  0.249  0.751  0.500
Rh  0.751  0.249  0.500

The 10 most intense peaks (10 to 90 degrees two-theta), sorted by position:
39.50°, intensity 42
39.63°, intensity 100
40.04°, intensity 42
44.84°, intensity 34
46.83°, intensity 52
66.46°, intensity 17
67.22°, intensity 19
79.14°, intensity 13
81.87°, intensity 11
85.37°, intensity 12

---

Theoretical PXRD pattern of AcLaNd2Y5 for Cu Kα (weighted mean of Kα1 and Kα2), from a structure optimized by DFT (GGA-PBE).
Kinematic intensities with the Lorentz-polarization factor, no thermal factor.

Lattice parameters (Å, degrees): 10.166 10.166 10.166 128.05 128.05 76.55
Element x y z (fractional)
Ac  0.250  0.750  0.500
Ac  0.750  0.250  0.500
La  0.250  0.250  0.000
La  0.750  0.750  0.000
Nd  0.115  0.615  0.731
Nd  0.385  0.115  0.500
Nd  0.615  0.885  0.500
Nd  0.885  0.385  0.269
Y  0.000  0.000  0.000
Y  0.080  0.158  0.500
Y  0.158  0.658  0.078
Y  0.342  0.420  0.500
Y  0.420  0.920  0.078
Y  0.500  0.500  0.000
Y  0.580  0.080  0.922
Y  0.658  0.580  0.500
Y  0.842  0.342  0.922
Y  0.920  0.842  0.500

The 10 most intense peaks (10 to 90 degrees two-theta), sorted by position:
27.98°, intensity 39
28.34°, intensity 49
30.07°, intensity 100
33.75°, intensity 20
36.82°, intensity 19
42.16°, intensity 27
45.47°, intensity 17
47.01°, intensity 16
51.27°, intensity 24
53.70°, intensity 16

---

Theoretical PXRD pattern of CsPuTiS4 for Cu Kα (weighted mean of Kα1 and Kα2), from a structure optimized by DFT (GGA-PBE).
Kinematic intensities with the Lorentz-polarization factor, no thermal factor.

Lattice parameters (Å, degrees): 6.718 6.779 9.589 90.00 108.62 90.00
Element x y z (fractional)
Cs  0.228  0.250  0.440
Cs  0.772  0.750  0.560
Pu  0.285  0.250  0.954
Pu  0.715  0.750  0.046
Ti  0.269  0.750  0.159
Ti  0.731  0.250  0.841
S  0.052  0.750  0.929
S  0.065  0.750  0.306
S  0.497  0.505  0.810
S  0.497  0.995  0.810
S  0.503  0.005  0.190
S  0.503  0.495  0.190
S  0.935  0.250  0.694
S  0.948  0.250  0.071

The 10 most intense peaks (10 to 90 degrees two-theta), sorted by position:
19.13°, intensity 100
19.54°, intensity 27
23.57°, intensity 34
24.01°, intensity 43
26.29°, intensity 51
30.57°, intensity 56
31.60°, intensity 43
32.97°, intensity 34
38.81°, intensity 34
42.99°, intensity 25

---

Theoretical PXRD pattern of CeCo3As3 for Cu Kα (weighted mean of Kα1 and Kα2), from a structure optimized by DFT (GGA-PBE).
Kinematic intensities with the Lorentz-polarization factor, no thermal factor.

Lattice parameters (Å, degrees): 6.365 6.365 6.365 90.00 90.00 90.00
Element x y z (fractional)
Ce  0.000  0.000  0.000
Ce  0.500  0.500  0.500
Co  0.000  0.250  0.500
Co  0.000  0.750  0.500
Co  0.250  0.500  0.000
Co  0.500  0.000  0.250
Co  0.500  0.000  0.750
Co  0.750  0.500  0.000
As  0.000  0.500  0.250
As  0.000  0.500  0.750
As  0.250  0.000  0.500
As  0.500  0.250  0.000
As  0.500  0.750  0.000
As  0.750  0.000  0.500

The 10 most intense peaks (10 to 90 degrees two-theta), sorted by position:
28.04°, intensity 43
31.43°, intensity 1
34.52°, intensity 100
49.61°, intensity 11
53.90°, intensity 55
57.96°, intensity 22
65.59°, intensity 15
69.24°, intensity 13
83.12°, intensity 15
86.49°, intensity 14

---

Theoretical PXRD pattern of Sc5AgSe8 for Cu Kα (weighted mean of Kα1 and Kα2), from a structure optimized by DFT (GGA-PBE).
Kinematic intensities with the Lorentz-polarization factor, no thermal factor.

Lattice parameters (Å, degrees): 7.983 7.983 7.983 60.00 60.00 60.00
Element x y z (fractional)
Sc  0.000  0.000  0.000
Sc  0.140  0.620  0.620
Sc  0.620  0.140  0.620
Sc  0.620  0.620  0.140
Sc  0.620  0.620  0.620
Ag  0.250  0.250  0.250
Se  0.384  0.384  0.384
Se  0.384  0.384  0.848
Se  0.384  0.848  0.384
Se  0.398  0.867  0.867
Se  0.848  0.384  0.384
Se  0.867  0.398  0.867
Se  0.867  0.867  0.398
Se  0.867  0.867  0.867

The 10 most intense peaks (10 to 90 degrees two-theta), sorted by position:
22.27°, intensity 22
26.18°, intensity 38
27.36°, intensity 63
31.70°, intensity 66
41.56°, intensity 30
45.44°, intensity 100
53.86°, intensity 26
56.47°, intensity 15
75.29°, intensity 17
83.98°, intensity 28

---

Theoretical PXRD pattern of ThTl5S5 for Cu Kα (weighted mean of Kα1 and Kα2), from a structure optimized by DFT (GGA-PBE).
Kinematic intensities with the Lorentz-polarization factor, no thermal factor.

Lattice parameters (Å, degrees): 7.589 7.589 8.872 108.35 108.35 45.50
Element x y z (fractional)
Th  0.000  0.000  0.000
Tl  0.000  0.000  0.500
Tl  0.316  0.316  0.684
Tl  0.329  0.329  0.169
Tl  0.671  0.671  0.831
Tl  0.684  0.684  0.316
S  0.147  0.147  0.302
S  0.154  0.154  0.862
S  0.500  0.500  0.000
S  0.846  0.846  0.138
S  0.853  0.853  0.698

The 10 most intense peaks (10 to 90 degrees two-theta), sorted by position:
25.17°, intensity 100
25.35°, intensity 98
28.25°, intensity 59
29.00°, intensity 63
30.46°, intensity 56
40.69°, intensity 22
41.17°, intensity 22
42.02°, intensity 40
42.56°, intensity 44
51.67°, intensity 23

---

Theoretical PXRD pattern of Li19Cu4H8O16 for Cu Kα (weighted mean of Kα1 and Kα2), from a structure optimized by DFT (GGA-PBE).
Kinematic intensities with the Lorentz-polarization factor, no thermal factor.

Lattice parameters (Å, degrees): 5.529 7.432 10.863 90.16 90.59 90.02
Element x y z (fractional)
Li  0.000  0.000  0.000
Li  0.000  0.484  0.000
Li  0.137  0.245  0.637
Li  0.153  0.743  0.801
Li  0.231  0.242  0.099
Li  0.270  0.737  0.574
Li  0.295  0.742  0.060
Li  0.421  0.989  0.690
Li  0.427  0.495  0.691
Li  0.505  0.490  0.198
Li  0.505  0.995  0.198
Li  0.637  0.236  0.552
Li  0.660  0.742  0.395
Li  0.718  0.242  0.093
Li  0.762  0.747  0.621
Li  0.776  0.242  0.307
Li  0.786  0.742  0.133
Li  0.922  0.497  0.504
Li  0.929  0.987  0.502
Cu  0.210  0.743  0.330
Cu  0.217  0.243  0.369
Cu  0.690  0.242  0.826
Cu  0.703  0.742  0.867
H  0.439  0.030  0.957
H  0.439  0.453  0.957
H  0.453  0.997  0.453
H  0.454  0.481  0.454
H  0.960  0.011  0.742
H  0.961  0.478  0.742
H  0.988  0.494  0.234
H  0.989  0.991  0.234
O  0.052  0.955  0.675
O  0.056  0.528  0.675
O  0.355  0.011  0.035
O  0.355  0.473  0.035
O  0.447  0.243  0.254
O  0.468  0.242  0.706
O  0.473  0.743  0.232
O  0.483  0.743  0.744
O  0.556  0.537  0.518
O  0.560  0.952  0.518
O  0.860  0.025  0.176
O  0.860  0.461  0.176
O  0.906  0.242  0.947
O  0.955  0.242  0.470
O  0.965  0.742  0.968
O  0.991  0.741  0.450

The 10 most intense peaks (10 to 90 degrees two-theta), sorted by position:
16.32°, intensity 41
17.93°, intensity 62
18.08°, intensity 59
23.95°, intensity 53
29.12°, intensity 95
29.35°, intensity 45
29.63°, intensity 41
30.10°, intensity 100
30.19°, intensity 31
49.03°, intensity 29